[1]
This entry pairs a crystal structure of RbSm2Cu3Se4S with its calculated powder X-ray diffraction pattern. Radiation: Cu Ka. Structure: a structure optimized by DFT (GGA-PBE).
Kinematic intensities with the Lorentz-polarization factor, no thermal factor.

Crystal structure
abc: 7.624 7.624 17.298
angles: 90.00 90.00 148.48
Element x y z (fractional)
1 Rb 0.067 0.933 0.750
2 Rb 0.933 0.067 0.250
3 Sm 0.192 0.808 0.095
4 Sm 0.192 0.808 0.405
5 Sm 0.808 0.192 0.595
6 Sm 0.808 0.192 0.905
7 Cu 0.335 0.665 0.750
8 Cu 0.415 0.585 0.028
9 Cu 0.415 0.585 0.472
10 Cu 0.585 0.415 0.528
11 Cu 0.585 0.415 0.972
12 Cu 0.665 0.335 0.250
13 Se 0.164 0.836 0.572
14 Se 0.164 0.836 0.928
15 Se 0.444 0.556 0.616
16 Se 0.444 0.556 0.884
17 Se 0.556 0.444 0.116
18 Se 0.556 0.444 0.384
19 Se 0.836 0.164 0.072
20 Se 0.836 0.164 0.428
21 S 0.234 0.766 0.250
22 S 0.766 0.234 0.750

Most intense lines, 10 to 90 degrees two-theta, by angle:
8.649 Å, I 83.3; 3.278 Å, I 46.2; 3.161 Å, I 98.4; 3.109 Å, I 80.1; 2.969 Å, I 82.0; 2.883 Å, I 79.1; 2.552 Å, I 100.0; 2.394 Å, I 55.7; 2.308 Å, I 52.7; 2.130 Å, I 49.6; 2.071 Å, I 83.3; 1.947 Å, I 69.6


[2]
This entry pairs a crystal structure of NdInFeTe3 with its calculated powder X-ray diffraction pattern. Radiation: Cu Ka. Structure: a structure optimized by DFT (GGA-PBE).
Kinematic intensities with the Lorentz-polarization factor, no thermal factor.

Crystal structure
abc: 8.035 8.035 11.596
angles: 90.00 90.00 148.75
Element x y z (fractional)
1 Nd 0.000 0.000 0.000
2 Nd 0.000 0.000 0.500
3 In 0.245 0.755 0.750
4 In 0.755 0.245 0.250
5 Fe 0.473 0.527 0.250
6 Fe 0.527 0.473 0.750
7 Te 0.078 0.922 0.250
8 Te 0.363 0.637 0.077
9 Te 0.363 0.637 0.423
10 Te 0.637 0.363 0.577
11 Te 0.637 0.363 0.923
12 Te 0.922 0.078 0.750

Most intense lines, 10 to 90 degrees two-theta, by angle:
7.738 Å, I 24.5; 3.458 Å, I 57.6; 3.316 Å, I 46.6; 3.188 Å, I 100.0; 2.878 Å, I 69.3; 2.834 Å, I 37.1; 2.380 Å, I 27.3; 2.357 Å, I 33.9; 2.309 Å, I 37.3; 2.164 Å, I 37.1; 1.900 Å, I 25.8; 1.379 Å, I 28.9


[3]
This entry pairs a crystal structure of DyHo2Tl3AgPt2 with its calculated powder X-ray diffraction pattern. Radiation: Cu Ka. Structure: a structure optimized by DFT (GGA-PBE).
Kinematic intensities with the Lorentz-polarization factor, no thermal factor.

Crystal structure
abc: 3.753 7.927 7.927
angles: 120.05 90.00 90.00
Element x y z (fractional)
1 Dy 0.000 0.000 0.000
2 Ho 0.000 0.180 0.590
3 Ho 0.000 0.590 0.180
4 Tl 0.500 0.319 0.319
5 Tl 0.500 0.590 0.861
6 Tl 0.500 0.861 0.590
7 Ag 0.000 0.590 0.590
8 Pt 0.500 0.257 0.923
9 Pt 0.500 0.923 0.257

Most intense lines, 10 to 90 degrees two-theta, by angle:
2.725 Å, I 100.0; 2.594 Å, I 51.3; 2.532 Å, I 79.7; 2.288 Å, I 52.8; 2.134 Å, I 26.8; 1.953 Å, I 10.8; 1.903 Å, I 12.0; 1.876 Å, I 22.1; 1.520 Å, I 20.6; 1.451 Å, I 62.2; 1.289 Å, I 10.2; 1.171 Å, I 16.8


[4]
This entry pairs a crystal structure of Ta5W8 with its calculated powder X-ray diffraction pattern. Radiation: Cu Ka. Structure: a structure optimized by DFT (GGA-PBE).
Kinematic intensities with the Lorentz-polarization factor, no thermal factor.

Crystal structure
abc: 9.929 9.929 9.929
angles: 30.78 30.78 30.78
Element x y z (fractional)
1 Ta 0.000 0.000 0.000
2 Ta 0.351 0.351 0.351
3 Ta 0.454 0.454 0.454
4 Ta 0.546 0.546 0.546
5 Ta 0.649 0.649 0.649
6 W 0.090 0.090 0.584
7 W 0.090 0.584 0.090
8 W 0.168 0.168 0.168
9 W 0.416 0.910 0.910
10 W 0.584 0.090 0.090
11 W 0.832 0.832 0.832
12 W 0.910 0.416 0.910
13 W 0.910 0.910 0.416

Most intense lines, 10 to 90 degrees two-theta, by angle:
2.635 Å, I 46.5; 2.409 Å, I 41.1; 2.363 Å, I 23.9; 2.302 Å, I 100.0; 2.275 Å, I 48.6; 2.245 Å, I 66.0; 2.117 Å, I 57.2; 1.988 Å, I 23.8; 1.448 Å, I 23.6; 1.434 Å, I 32.8; 1.347 Å, I 23.4; 1.318 Å, I 37.7